This entry pairs a crystal structure of RbMg6MnO8 with its computed X-ray powder pattern. Radiation: Cu Kα. Structure: DFT lattice parameters and positions (PBE+U).
Peak positions follow from Bragg's law for the DFT cell and can differ from measured ones.

Structural model:
```
RbMg6MnO8
1.0
4.561 0.000 0.000
0.000 4.561 0.000
0.000 0.000 8.716
Rb Mg Mn O
1 6 1 8
Cartesian
0.000 0.000 0.000
0.000 2.280 2.209
0.000 2.280 6.507
2.280 0.000 2.209
2.280 0.000 6.507
2.280 2.280 0.000
2.280 2.280 4.358
0.000 0.000 4.358
0.000 0.000 2.456
0.000 0.000 6.260
0.000 2.280 0.000
0.000 2.280 4.358
2.280 0.000 0.000
2.280 0.000 4.358
2.280 2.280 2.199
2.280 2.280 6.517
```

Peak list (6 most intense, 15 to 90 degrees two-theta, low angle first)
Position (°2θ)  intensity  index
19.46  29  1 0 0
34.60  44  1 1 2
39.52  100  2 0 0
41.44  41  0 0 4
57.13  30  2 2 0
58.60  52  2 0 4